# 1
Starting from a cell relaxed with PBE, the powder X-ray diffraction pattern of AlV3C was simulated for Cu Kα X-rays.

Main lines, low angle first (5 to 70 degrees two-theta):
- d 6.403, 2θ 13.83, rel. 14, (1 0 1)
- d 2.408, 2θ 37.35, rel. 15, (2 1 1)
- d 2.315, 2θ 38.90, rel. 23, (0 0 4)
- d 2.240, 2θ 40.26, rel. 10, (1 0 4)
- d 2.216, 2θ 40.72, rel. 11, (4 0 0)
- d 2.195, 2θ 41.11, rel. 100, (2 1 2)
- d 2.155, 2θ 41.92, rel. 17, (4 0 1)
- d 1.940, 2θ 46.84, rel. 10, (2 1 3)
- d 1.800, 2θ 50.72, rel. 9, (4 0 3)
- d 1.508, 2θ 61.48, rel. 11, (0 2 0)

Crystal structure
```
data_AlV3C
_cell_length_a 8.864
_cell_length_b 3.016
_cell_length_c 9.260
_cell_angle_alpha 90.00
_cell_angle_beta 90.00
_cell_angle_gamma 90.00
_symmetry_space_group_name_H-M 'P n m a'
_symmetry_Int_Tables_number 62
loop_
_symmetry_equiv_pos_as_xyz
'x,y,z'
'-x,-y,-z'
'-x+1/2,-y,z+1/2'
'x+1/2,y,-z+1/2'
'x+1/2,-y+1/2,-z+1/2'
'-x+1/2,y+1/2,z+1/2'
'-x,y+1/2,-z'
'x,-y+1/2,z'
loop_
_atom_site_label
_atom_site_fract_x
_atom_site_fract_y
_atom_site_fract_z
Al1 0.126 0.250 0.017
V1 0.078 0.750 0.250
V2 0.125 0.250 0.528
V3 0.180 0.750 0.786
C1 0.021 0.750 0.635
```

***

# 2
Starting from a cell relaxed with PBE, the powder X-ray diffraction pattern of CrTeSeN2 was simulated for Cu Kα X-rays.

Main lines, low angle first (5 to 70 degrees two-theta):
- d 5.865, 2θ 15.11, rel. 88, (0 0 1)
- d 3.814, 2θ 23.32, rel. 46, (1 0 0)
- d 2.932, 2θ 30.49, rel. 98, (0 0 2)
- d 2.697, 2θ 33.22, rel. 100, (1 1 0)
- d 2.450, 2θ 36.67, rel. 90, (1 1 1)
- d 2.325, 2θ 38.73, rel. 24, (1 0 2)
- d 1.985, 2θ 45.70, rel. 82, (1 1 2)
- d 1.907, 2θ 47.68, rel. 53, (2 0 0)
- d 1.599, 2θ 57.66, rel. 58, (2 0 2)
- d 1.583, 2θ 58.29, rel. 22, (1 1 3)

Crystal structure
```
data_CrTeSeN2
_cell_length_a 3.814
_cell_length_b 3.814
_cell_length_c 5.865
_cell_angle_alpha 90.00
_cell_angle_beta 90.00
_cell_angle_gamma 90.00
_symmetry_space_group_name_H-M 'P 4/m m m'
_symmetry_Int_Tables_number 123
_symmetry_space_group_name_Hall '-P 4 2'
loop_
_atom_site_label
_atom_site_fract_x
_atom_site_fract_y
_atom_site_fract_z
Cr1 0.000 0.000 0.000
Te1 0.000 0.000 0.500
Se1 0.500 0.500 0.500
N1 0.000 0.500 0.000
```

***

# 3
Starting from a cell relaxed with PBE, the powder X-ray diffraction pattern of Re4Tc3Rh was simulated for Cu Kα X-rays.

Main lines, low angle first (5 to 70 degrees two-theta):
- d 4.437, 2θ 20.01, rel. 17, (0 2 0)
- d 2.397, 2θ 37.52, rel. 28, (2 0 2)
- d 2.390, 2θ 37.64, rel. 15, (0 0 4)
- d 2.219, 2θ 40.67, rel. 37, (0 4 0)
- d 2.109, 2θ 42.88, rel. 100, (2 2 2)
- d 2.104, 2θ 42.99, rel. 48, (0 2 4)
- d 1.627, 2θ 56.55, rel. 27, (0 4 4)
- d 1.479, 2θ 62.83, rel. 1, (0 6 0)
- d 1.386, 2θ 67.61, rel. 8, (4 0 0)
- d 1.381, 2θ 67.86, rel. 16, (2 0 6)

Crystal structure
```
data_Re4Tc3Rh
_cell_length_a 5.542
_cell_length_b 8.874
_cell_length_c 9.558
_cell_angle_alpha 90.00
_cell_angle_beta 90.00
_cell_angle_gamma 90.00
_symmetry_space_group_name_H-M 'F m m 2'
_symmetry_Int_Tables_number 42
_symmetry_space_group_name_Hall 'F 2 -2'
loop_
_atom_site_label
_atom_site_fract_x
_atom_site_fract_y
_atom_site_fract_z
Re1 0.000 0.249 0.000
Re2 0.250 0.250 0.250
Tc1 0.000 0.000 0.329
Tc2 0.247 0.000 0.083
Rh1 0.000 0.000 0.831
```

***

# 4
Starting from a cell relaxed with PBE, the powder X-ray diffraction pattern of Ca6InSi2 was simulated for Cu Kα X-rays.

Main lines, low angle first (5 to 70 degrees two-theta):
- d 4.297, 2θ 20.67, rel. 21, (1 1 2)
- d 3.149, 2θ 28.34, rel. 28, (1 3 0)
- d 2.944, 2θ 30.36, rel. 100, (2 2 2)
- d 2.722, 2θ 32.90, rel. 20, (0 0 4)
- d 2.702, 2θ 33.16, rel. 59, (3 1 2)
- d 2.655, 2θ 33.76, rel. 22, (3 2 1)
- d 2.537, 2θ 35.38, rel. 21, (1 1 4)
- d 2.493, 2θ 36.02, rel. 22, (0 4 0)
- d 2.454, 2θ 36.62, rel. 20, (4 0 0)
- d 1.626, 2θ 56.61, rel. 21, (3 5 2)

Crystal structure
```
data_Ca6InSi2
_cell_length_a 9.828
_cell_length_b 9.973
_cell_length_c 10.887
_cell_angle_alpha 90.00
_cell_angle_beta 90.00
_cell_angle_gamma 90.00
_symmetry_space_group_name_H-M 'I m m m'
_symmetry_Int_Tables_number 71
_symmetry_space_group_name_Hall '-I 2 2'
loop_
_atom_site_label
_atom_site_fract_x
_atom_site_fract_y
_atom_site_fract_z
Ca1 0.000 0.193 0.174
Ca2 0.186 0.218 0.500
Ca3 0.202 0.500 0.255
In1 0.000 0.500 0.000
In2 0.000 0.500 0.500
Si1 0.000 0.000 0.388
Si2 0.146 0.000 0.000
```

***

# 5
Starting from a cell relaxed with PBE, the powder X-ray diffraction pattern of SmCu2H8Ir was simulated for Cu Kα X-rays.

Main lines, low angle first (5 to 70 degrees two-theta):
- d 4.502, 2θ 19.72, rel. 68, (1 0 0)
- d 3.841, 2θ 23.16, rel. 100, (0 1 1)
- d 3.067, 2θ 29.12, rel. 84, (0 1 -1)
- d 3.001, 2θ 29.77, rel. 89, (1 1 1)
- d 2.849, 2θ 31.40, rel. 86, (-1 1 1)
- d 2.535, 2θ 35.42, rel. 83, (1 1 -1)
- d 2.291, 2θ 39.33, rel. 68, (1 0 2)
- d 2.251, 2θ 40.06, rel. 64, (2 0 0)
- d 2.233, 2θ 40.39, rel. 59, (0 2 0)
- d 2.218, 2θ 40.68, rel. 59, (1 0 -2)

Crystal structure
```
data_SmCu2H8Ir
_cell_length_a 4.509
_cell_length_b 4.586
_cell_length_c 5.347
_cell_angle_alpha 76.98
_cell_angle_beta 87.42
_cell_angle_gamma 87.79
_symmetry_space_group_name_H-M 'P -1'
_symmetry_Int_Tables_number 2
loop_
_symmetry_equiv_pos_as_xyz
'x,y,z'
'-x,-y,-z'
loop_
_atom_site_label
_atom_site_fract_x
_atom_site_fract_y
_atom_site_fract_z
Sm1 0.000 0.000 0.000
Cu1 0.489 0.537 0.769
H1 0.095 0.567 0.788
H2 0.204 0.179 0.549
H3 0.285 0.723 0.367
H4 0.487 0.210 0.052
Ir1 0.000 0.500 0.500
```

***

# 6
Starting from a cell relaxed with PBE, the powder X-ray diffraction pattern of Ac3Pr3Ni4 was simulated for Cu Kα X-rays.

Main lines, low angle first (5 to 70 degrees two-theta):
- d 3.326, 2θ 26.80, rel. 39, (1 2 0)
- d 3.301, 2θ 27.01, rel. 24, (1 0 2)
- d 2.867, 2θ 31.20, rel. 100, (1 2 2)
- d 2.715, 2θ 32.99, rel. 66, (1 3 1)
- d 2.688, 2θ 33.33, rel. 72, (1 1 3)
- d 2.573, 2θ 34.87, rel. 55, (0 4 2)
- d 2.538, 2θ 35.36, rel. 52, (0 2 4)
- d 2.034, 2θ 44.55, rel. 31, (2 0 0)
- d 1.596, 2θ 57.79, rel. 26, (2 4 2)
- d 1.587, 2θ 58.12, rel. 25, (2 2 4)

Crystal structure
```
data_Ac3Pr3Ni4
_cell_length_a 4.067
_cell_length_b 11.561
_cell_length_c 11.302
_cell_angle_alpha 90.00
_cell_angle_beta 90.00
_cell_angle_gamma 90.00
_symmetry_space_group_name_H-M 'A m m 2'
_symmetry_Int_Tables_number 38
loop_
_symmetry_equiv_pos_as_xyz
'x,y,z'
'-x,-y,z'
'-x,y,z'
'x,-y,z'
'x,y+1/2,z+1/2'
'-x,-y+1/2,z+1/2'
'-x,y+1/2,z+1/2'
'x,-y+1/2,z+1/2'
loop_
_atom_site_label
_atom_site_fract_x
_atom_site_fract_y
_atom_site_fract_z
Ac1 0.000 0.000 0.000
Ac2 0.500 0.242 0.592
Pr1 0.000 0.000 0.678
Pr2 0.000 0.157 0.340
Ni1 0.500 0.000 0.227
Ni2 0.500 0.000 0.454
Ni3 0.500 0.116 0.835
```

***

Number 2 is which compound?
CrTeSeN2

***

Please write out number 4 again, unchanged.
Starting from a cell relaxed with PBE, the powder X-ray diffraction pattern of Ca6InSi2 was simulated for Cu Kα X-rays.

Main lines, low angle first (5 to 70 degrees two-theta):
- d 4.297, 2θ 20.67, rel. 21, (1 1 2)
- d 3.149, 2θ 28.34, rel. 28, (1 3 0)
- d 2.944, 2θ 30.36, rel. 100, (2 2 2)
- d 2.722, 2θ 32.90, rel. 20, (0 0 4)
- d 2.702, 2θ 33.16, rel. 59, (3 1 2)
- d 2.655, 2θ 33.76, rel. 22, (3 2 1)
- d 2.537, 2θ 35.38, rel. 21, (1 1 4)
- d 2.493, 2θ 36.02, rel. 22, (0 4 0)
- d 2.454, 2θ 36.62, rel. 20, (4 0 0)
- d 1.626, 2θ 56.61, rel. 21, (3 5 2)

Crystal structure
```
data_Ca6InSi2
_cell_length_a 9.828
_cell_length_b 9.973
_cell_length_c 10.887
_cell_angle_alpha 90.00
_cell_angle_beta 90.00
_cell_angle_gamma 90.00
_symmetry_space_group_name_H-M 'I m m m'
_symmetry_Int_Tables_number 71
_symmetry_space_group_name_Hall '-I 2 2'
loop_
_atom_site_label
_atom_site_fract_x
_atom_site_fract_y
_atom_site_fract_z
Ca1 0.000 0.193 0.174
Ca2 0.186 0.218 0.500
Ca3 0.202 0.500 0.255
In1 0.000 0.500 0.000
In2 0.000 0.500 0.500
Si1 0.000 0.000 0.388
Si2 0.146 0.000 0.000
```

***

Repeat the fifth record exactly.
Starting from a cell relaxed with PBE, the powder X-ray diffraction pattern of SmCu2H8Ir was simulated for Cu Kα X-rays.

Main lines, low angle first (5 to 70 degrees two-theta):
- d 4.502, 2θ 19.72, rel. 68, (1 0 0)
- d 3.841, 2θ 23.16, rel. 100, (0 1 1)
- d 3.067, 2θ 29.12, rel. 84, (0 1 -1)
- d 3.001, 2θ 29.77, rel. 89, (1 1 1)
- d 2.849, 2θ 31.40, rel. 86, (-1 1 1)
- d 2.535, 2θ 35.42, rel. 83, (1 1 -1)
- d 2.291, 2θ 39.33, rel. 68, (1 0 2)
- d 2.251, 2θ 40.06, rel. 64, (2 0 0)
- d 2.233, 2θ 40.39, rel. 59, (0 2 0)
- d 2.218, 2θ 40.68, rel. 59, (1 0 -2)

Crystal structure
```
data_SmCu2H8Ir
_cell_length_a 4.509
_cell_length_b 4.586
_cell_length_c 5.347
_cell_angle_alpha 76.98
_cell_angle_beta 87.42
_cell_angle_gamma 87.79
_symmetry_space_group_name_H-M 'P -1'
_symmetry_Int_Tables_number 2
loop_
_symmetry_equiv_pos_as_xyz
'x,y,z'
'-x,-y,-z'
loop_
_atom_site_label
_atom_site_fract_x
_atom_site_fract_y
_atom_site_fract_z
Sm1 0.000 0.000 0.000
Cu1 0.489 0.537 0.769
H1 0.095 0.567 0.788
H2 0.204 0.179 0.549
H3 0.285 0.723 0.367
H4 0.487 0.210 0.052
Ir1 0.000 0.500 0.500
```